[1]
Starting from a PBE-relaxed structure, the powder diffraction line list of Gd3Er2Mg3 was simulated for Cu Kα, 1.54184 Å.
Intensities are scaled so that the largest is 100.

Cell and atoms:
```
Gd3Er2Mg3
1.0
5.546 0.000 0.000
0.000 3.553 5.854
0.000 -3.553 5.854
Gd Er Mg
3 2 3
Direct
0.000 0.000 0.000
0.500 0.318 0.825
0.500 0.825 0.318
0.000 0.487 0.487
0.500 0.819 0.819
0.000 0.504 0.979
0.000 0.979 0.504
0.500 0.321 0.321
```

Top 12 peaks for 2θ from 15° to 90°, most intense first:
| Position (°2θ) | I_rel |
| --- | --- |
| 33.6 | 100 |
| 34.7 | 41 |
| 32.3 | 36 |
| 15.1 | 34 |
| 29.4 | 22 |
| 58.4 | 21 |
| 64.0 | 19 |
| 29.9 | 17 |
| 53.6 | 16 |
| 63.5 | 15 |
| 44.2 | 14 |
| 30.5 | 13 |



[2]
Starting from a PBE-relaxed structure, the powder diffraction line list of Gd3Ge4Sb4 was simulated for Cu Kα, 1.54184 Å.
Intensities are scaled so that the largest is 100.

Cell and atoms:
```
Gd3Ge4Sb4
1.0
-1.988 4.416 7.964
1.988 -4.416 7.964
1.988 4.416 -7.964
Gd Ge Sb
3 4 4
Direct
0.000 0.000 0.000
0.368 0.868 0.500
0.632 0.132 0.500
0.056 0.321 0.735
0.415 0.679 0.735
0.585 0.321 0.265
0.944 0.679 0.265
0.196 0.196 0.000
0.293 0.500 0.793
0.707 0.500 0.207
0.804 0.804 0.000
```

Top 12 peaks for 2θ from 15° to 90°, most intense first:
| Position (°2θ) | I_rel |
| --- | --- |
| 30.8 | 100 |
| 41.7 | 48 |
| 33.4 | 45 |
| 34.8 | 29 |
| 40.9 | 28 |
| 29.8 | 24 |
| 33.8 | 23 |
| 45.6 | 22 |
| 62.0 | 13 |
| 62.9 | 13 |
| 57.9 | 12 |
| 75.0 | 10 |



[3]
Starting from a PBE-relaxed structure, the powder diffraction line list of Lu5In4Ni2 was simulated for Cu Kα, 1.54184 Å.
Intensities are scaled so that the largest is 100.

Cell and atoms:
```
Lu5In4Ni2
1.0
7.862 0.000 0.000
0.000 17.622 0.000
0.000 0.000 3.537
Lu In Ni
10 8 4
Direct
0.000 0.000 0.000
0.116 0.412 0.000
0.245 0.221 0.000
0.255 0.721 0.000
0.384 0.912 0.000
0.500 0.500 0.000
0.616 0.088 0.000
0.745 0.279 0.000
0.755 0.779 0.000
0.884 0.588 0.000
0.075 0.848 0.500
0.206 0.568 0.500
0.294 0.068 0.500
0.425 0.348 0.500
0.575 0.652 0.500
0.706 0.932 0.500
0.794 0.432 0.500
0.925 0.152 0.500
0.025 0.304 0.500
0.475 0.804 0.500
0.525 0.196 0.500
0.975 0.696 0.500
```

Top 12 peaks for 2θ from 15° to 90°, most intense first:
| Position (°2θ) | I_rel |
| --- | --- |
| 34.5 | 100 |
| 35.6 | 86 |
| 37.5 | 62 |
| 35.7 | 39 |
| 32.5 | 38 |
| 37.8 | 30 |
| 51.7 | 25 |
| 38.3 | 22 |
| 59.8 | 18 |
| 60.9 | 18 |
| 65.1 | 17 |
| 31.6 | 17 |



[4]
Starting from a PBE-relaxed structure, the powder diffraction line list of YEr2In3Ir2 was simulated for Cu Kα, 1.54184 Å.
Intensities are scaled so that the largest is 100.

Cell and atoms:
```
YEr2In3Ir2
1.0
3.650 0.000 0.000
0.000 6.594 3.792
0.000 -6.594 3.792
Y Er In Ir
1 2 3 2
Direct
0.000 0.000 0.000
0.000 0.157 0.579
0.000 0.579 0.157
0.500 0.345 0.345
0.500 0.579 0.814
0.500 0.814 0.579
0.500 0.249 0.911
0.500 0.911 0.249
```

Top 12 peaks for 2θ from 15° to 90°, most intense first:
| Position (°2θ) | I_rel |
| --- | --- |
| 34.1 | 100 |
| 36.8 | 70 |
| 36.1 | 50 |
| 63.2 | 27 |
| 50.0 | 22 |
| 36.2 | 20 |
| 70.5 | 17 |
| 41.2 | 15 |
| 67.0 | 13 |
| 44.0 | 13 |
| 56.3 | 12 |
| 66.7 | 10 |



[5]
Starting from a PBE-relaxed structure, the powder diffraction line list of K2AgSbCl6 was simulated for Cu Kα, 1.54184 Å.
Intensities are scaled so that the largest is 100.

Cell and atoms:
```
K2AgSbCl6
1.0
7.289 0.000 0.000
0.000 7.486 0.000
-7.260 0.000 10.373
K Ag Sb Cl
4 2 2 12
Direct
0.231 0.074 0.250
0.231 0.426 0.750
0.769 0.574 0.250
0.769 0.926 0.750
0.500 0.000 0.000
0.500 0.500 0.500
0.000 0.000 0.500
0.000 0.500 0.000
0.142 0.200 0.955
0.142 0.300 0.455
0.250 0.691 0.950
0.250 0.809 0.450
0.343 0.017 0.748
0.343 0.483 0.248
0.657 0.517 0.752
0.657 0.983 0.252
0.750 0.191 0.550
0.750 0.309 0.050
0.858 0.700 0.545
0.858 0.800 0.045
```

Top 12 peaks for 2θ from 15° to 90°, most intense first:
| Position (°2θ) | I_rel |
| --- | --- |
| 24.2 | 100 |
| 17.0 | 89 |
| 34.3 | 57 |
| 17.1 | 42 |
| 34.6 | 35 |
| 42.9 | 33 |
| 42.8 | 33 |
| 38.6 | 28 |
| 23.8 | 28 |
| 38.1 | 28 |
| 38.8 | 24 |
| 24.4 | 24 |



[6]
Starting from a PBE-relaxed structure, the powder diffraction line list of Ta3Co2 was simulated for Cu Kα, 1.54184 Å.
Intensities are scaled so that the largest is 100.

Cell and atoms:
```
Ta3Co2
1.0
9.472 0.000 0.000
0.000 9.472 0.000
0.000 0.000 5.137
Ta Co
18 12
Direct
0.000 0.000 0.000
0.055 0.346 0.500
0.074 0.271 0.000
0.154 0.555 0.000
0.229 0.574 0.500
0.271 0.074 0.000
0.346 0.055 0.500
0.426 0.771 0.500
0.445 0.846 0.000
0.500 0.500 0.500
0.555 0.154 0.000
0.574 0.229 0.500
0.654 0.945 0.500
0.729 0.926 0.000
0.771 0.426 0.500
0.846 0.445 0.000
0.926 0.729 0.000
0.945 0.654 0.500
0.087 0.087 0.500
0.170 0.830 0.261
0.170 0.830 0.739
0.330 0.330 0.239
0.330 0.330 0.761
0.413 0.587 0.000
0.587 0.413 0.000
0.670 0.670 0.239
0.670 0.670 0.761
0.830 0.170 0.261
0.830 0.170 0.739
0.913 0.913 0.500
```

Top 12 peaks for 2θ from 15° to 90°, most intense first:
| Position (°2θ) | I_rel |
| --- | --- |
| 39.2 | 100 |
| 43.1 | 96 |
| 34.9 | 70 |
| 44.2 | 56 |
| 41.1 | 50 |
| 46.6 | 44 |
| 53.5 | 32 |
| 86.9 | 31 |
| 40.4 | 29 |
| 34.1 | 29 |
| 29.8 | 29 |
| 68.3 | 24 |



[7]
Starting from a PBE-relaxed structure, the powder diffraction line list of Cs2Cu2Te4W was simulated for Cu Kα, 1.54184 Å.
Intensities are scaled so that the largest is 100.

Cell and atoms:
```
Cs2Cu2Te4W
1.0
3.115 -7.727 0.000
3.115 7.727 0.000
0.000 0.000 6.231
Cs Cu Te W
2 2 4 1
Direct
0.000 0.500 0.249
0.500 0.000 0.751
0.000 0.000 0.000
0.500 0.500 0.500
0.154 0.345 0.749
0.345 0.154 0.251
0.655 0.846 0.251
0.846 0.655 0.749
0.000 0.000 0.500
```

Top 12 peaks for 2θ from 15° to 90°, most intense first:
| Position (°2θ) | I_rel |
| --- | --- |
| 26.6 | 100 |
| 45.7 | 43 |
| 49.5 | 36 |
| 41.0 | 33 |
| 30.9 | 20 |
| 78.0 | 18 |
| 28.7 | 14 |
| 37.1 | 14 |
| 15.3 | 11 |
| 59.3 | 11 |
| 80.8 | 9 |
| 57.6 | 9 |



[8]
Starting from a PBE-relaxed structure, the powder diffraction line list of HoZnCuTe3 was simulated for Cu Kα, 1.54184 Å.
Intensities are scaled so that the largest is 100.

Cell and atoms:
```
HoZnCuTe3
1.0
1.994 -7.022 0.000
1.994 7.022 0.000
0.000 0.000 11.103
Ho Zn Cu Te
2 2 2 6
Direct
0.000 0.000 0.000
0.000 0.000 0.500
0.231 0.769 0.750
0.769 0.231 0.250
0.477 0.523 0.250
0.523 0.477 0.750
0.103 0.897 0.250
0.349 0.651 0.078
0.349 0.651 0.422
0.651 0.349 0.578
0.651 0.349 0.922
0.897 0.103 0.750
```

Top 12 peaks for 2θ from 15° to 90°, most intense first:
| Position (°2θ) | I_rel |
| --- | --- |
| 33.7 | 100 |
| 27.2 | 40 |
| 30.5 | 36 |
| 40.1 | 25 |
| 29.4 | 23 |
| 45.5 | 22 |
| 42.6 | 21 |
| 41.9 | 18 |
| 73.6 | 15 |
| 53.8 | 15 |
| 51.0 | 15 |
| 32.3 | 14 |



[9]
Starting from a PBE-relaxed structure, the powder diffraction line list of ThP2 was simulated for Cu Kα, 1.54184 Å.
Intensities are scaled so that the largest is 100.

Cell and atoms:
```
ThP2
1.0
7.191 0.000 0.000
0.000 3.855 0.000
0.000 0.000 9.436
Th P
4 8
Direct
0.200 0.250 0.152
0.300 0.750 0.652
0.700 0.250 0.348
0.800 0.750 0.848
0.085 0.250 0.460
0.106 0.250 0.839
0.394 0.750 0.339
0.415 0.750 0.960
0.585 0.250 0.040
0.606 0.250 0.661
0.894 0.750 0.161
0.915 0.750 0.540
```

Top 12 peaks for 2θ from 15° to 90°, most intense first:
| Position (°2θ) | I_rel |
| --- | --- |
| 22.5 | 100 |
| 39.0 | 91 |
| 24.9 | 69 |
| 27.9 | 54 |
| 35.4 | 48 |
| 34.1 | 42 |
| 24.8 | 33 |
| 48.7 | 22 |
| 52.9 | 22 |
| 47.1 | 19 |
| 60.4 | 19 |
| 31.0 | 19 |



[10]
Starting from a PBE-relaxed structure, the powder diffraction line list of CuAg was simulated for Cu Kα, 1.54184 Å.
Intensities are scaled so that the largest is 100.

Cell and atoms:
```
CuAg
1.0
7.186 -1.879 0.000
7.186 1.879 0.000
-1.046 0.000 5.549
Cu Ag
5 5
Direct
0.000 0.000 0.000
0.004 0.004 0.454
0.410 0.410 0.175
0.591 0.591 0.268
0.811 0.811 0.889
0.200 0.200 0.568
0.203 0.203 0.072
0.405 0.405 0.690
0.597 0.597 0.774
0.811 0.811 0.368
```

Top 12 peaks for 2θ from 15° to 90°, most intense first:
| Position (°2θ) | I_rel |
| --- | --- |
| 39.9 | 100 |
| 45.1 | 17 |
| 45.7 | 16 |
| 48.4 | 15 |
| 79.8 | 11 |
| 84.6 | 10 |
| 80.6 | 10 |
| 66.2 | 9 |
| 86.2 | 9 |
| 68.4 | 9 |
| 68.8 | 9 |
| 30.4 | 3 |



[11]
Starting from a PBE-relaxed structure, the powder diffraction line list of Tm4SnGe4Pd2 was simulated for Cu Kα, 1.54184 Å.
Intensities are scaled so that the largest is 100.

Cell and atoms:
```
Tm4SnGe4Pd2
1.0
7.881 -2.113 0.000
7.881 2.113 0.000
-2.170 0.000 6.796
Tm Sn Ge Pd
4 1 4 2
Direct
0.086 0.086 0.376
0.155 0.155 0.923
0.845 0.845 0.077
0.914 0.914 0.624
0.500 0.500 0.000
0.308 0.308 0.769
0.437 0.437 0.343
0.563 0.563 0.657
0.692 0.692 0.231
0.281 0.281 0.379
0.719 0.719 0.621
```

Top 12 peaks for 2θ from 15° to 90°, most intense first:
| Position (°2θ) | I_rel |
| --- | --- |
| 35.8 | 100 |
| 32.9 | 95 |
| 34.4 | 53 |
| 42.8 | 46 |
| 36.7 | 33 |
| 34.2 | 25 |
| 37.6 | 19 |
| 42.1 | 19 |
| 59.8 | 18 |
| 39.7 | 18 |
| 57.0 | 15 |
| 73.8 | 14 |



[12]
Starting from a PBE-relaxed structure, the powder diffraction line list of In2Ni21P6 was simulated for Cu Kα, 1.54184 Å.
Intensities are scaled so that the largest is 100.

Cell and atoms:
```
In2Ni21P6
1.0
0.000 5.544 5.544
5.544 0.000 5.544
5.544 5.544 0.000
In Ni P
2 21 6
Direct
0.250 0.250 0.250
0.750 0.750 0.750
0.000 0.000 0.000
0.000 0.000 0.348
0.000 0.000 0.652
0.000 0.348 0.000
0.000 0.348 0.652
0.000 0.652 0.000
0.000 0.652 0.348
0.155 0.615 0.615
0.348 0.000 0.000
0.348 0.000 0.652
0.348 0.652 0.000
0.385 0.385 0.385
0.385 0.385 0.845
0.385 0.845 0.385
0.615 0.155 0.615
0.615 0.615 0.155
0.615 0.615 0.615
0.652 0.000 0.000
0.652 0.000 0.348
0.652 0.348 0.000
0.845 0.385 0.385
0.262 0.262 0.738
0.262 0.738 0.262
0.262 0.738 0.738
0.738 0.262 0.262
0.738 0.262 0.738
0.738 0.738 0.262
```

Top 12 peaks for 2θ from 15° to 90°, most intense first:
| Position (°2θ) | I_rel |
| --- | --- |
| 42.4 | 100 |
| 46.3 | 44 |
| 39.8 | 36 |
| 36.2 | 35 |
| 48.6 | 29 |
| 72.3 | 28 |
| 54.9 | 23 |
| 85.9 | 23 |
| 74.0 | 12 |
| 70.0 | 10 |
| 87.5 | 8 |
| 49.3 | 7 |